# 1
# Pa3AgBi4
Theoretical X-ray diffraction stick pattern, Cu Kα (weighted mean of Kα1 and Kα2). Input: a DFT-relaxed cell (GGA-PBE, Alexandria).

Structural model:
```
Pa3AgBi4
1.0
6.397 0.000 0.000
0.000 11.491 0.000
0.000 0.000 6.366
Pa Ag Bi
6 2 8
Direct
0.000 0.121 0.000 Pa
0.224 0.351 0.558 Pa
0.276 0.649 0.058 Pa
0.500 0.879 0.500 Pa
0.724 0.649 0.058 Pa
0.776 0.351 0.558 Pa
0.000 0.856 0.764 Ag
0.500 0.144 0.264 Ag
0.000 0.098 0.501 Bi
0.000 0.857 0.248 Bi
0.246 0.370 0.061 Bi
0.254 0.630 0.561 Bi
0.500 0.143 0.748 Bi
0.500 0.902 0.001 Bi
0.746 0.630 0.561 Bi
0.754 0.370 0.061 Bi
```

Largest 10 diffraction maxima, sorted by position, 2θ from 10° to 80°:
2θ 28.03, d 3.183, I = 42
2θ 28.98, d 3.082, I = 100
2θ 31.13, d 2.873, I = 78
2θ 32.36, d 2.766, I = 46
2θ 35.15, d 2.553, I = 49
2θ 36.60, d 2.455, I = 71
2θ 36.71, d 2.448, I = 32
2θ 40.75, d 2.214, I = 29
2θ 54.18, d 1.693, I = 27
2θ 63.75, d 1.460, I = 34

***

# 2
# Pa4Ag3Bi8
Theoretical X-ray diffraction stick pattern, Cu Kα (weighted mean of Kα1 and Kα2). Input: a DFT-relaxed cell (GGA-PBE, Alexandria).

Structural model:
```
Pa4Ag3Bi8
1.0
4.569 0.000 0.000
0.000 4.569 0.000
0.000 0.000 19.916
Pa Ag Bi
4 3 8
Direct
0.000 0.500 0.120 Pa
0.000 0.500 0.629 Pa
0.500 0.000 0.371 Pa
0.500 0.000 0.880 Pa
0.000 0.000 0.000 Ag
0.000 0.000 0.500 Ag
0.500 0.500 0.500 Ag
0.000 0.000 0.245 Bi
0.000 0.000 0.755 Bi
0.000 0.500 0.400 Bi
0.000 0.500 0.913 Bi
0.500 0.000 0.087 Bi
0.500 0.000 0.600 Bi
0.500 0.500 0.245 Bi
0.500 0.500 0.755 Bi
```

Largest 10 diffraction maxima, sorted by position, 2θ from 10° to 80°:
2θ 26.48, d 3.366, I = 8
2θ 26.86, d 3.319, I = 9
2θ 29.06, d 3.073, I = 13
2θ 33.05, d 2.710, I = 100
2θ 36.08, d 2.490, I = 12
2θ 39.45, d 2.284, I = 38
2θ 54.52, d 1.683, I = 16
2θ 57.01, d 1.615, I = 13
2θ 67.50, d 1.388, I = 26
2θ 69.35, d 1.355, I = 8

***

# 3
# AgBi3Pb12
Theoretical X-ray diffraction stick pattern, Cu Kα (weighted mean of Kα1 and Kα2). Input: a DFT-relaxed cell (GGA-PBE, Alexandria).

Structural model:
```
AgBi3Pb12
1.0
3.500 0.000 0.000
0.000 6.090 0.000
-0.001 0.000 23.227
Ag Bi Pb
1 3 12
Direct
0.000 0.000 0.000 Ag
0.000 0.000 0.500 Bi
0.002 0.000 0.761 Bi
0.998 0.000 0.239 Bi
0.000 0.500 0.125 Pb
0.000 0.500 0.376 Pb
0.000 0.500 0.624 Pb
0.000 0.500 0.875 Pb
0.499 0.000 0.368 Pb
0.499 0.500 0.750 Pb
0.500 0.000 0.108 Pb
0.500 0.000 0.892 Pb
0.500 0.500 0.000 Pb
0.500 0.500 0.500 Pb
0.501 0.000 0.632 Pb
0.501 0.500 0.250 Pb
```

Largest 10 diffraction maxima, sorted by position, 2θ from 10° to 80°:
2θ 29.33, d 3.045, I = 36
2θ 30.80, d 2.903, I = 27
2θ 33.32, d 2.689, I = 100
2θ 43.05, d 2.101, I = 22
2θ 54.60, d 1.681, I = 25
2θ 56.38, d 1.632, I = 17
2θ 61.08, d 1.517, I = 9
2θ 61.90, d 1.499, I = 10
2θ 69.96, d 1.345, I = 11
2θ 72.71, d 1.301, I = 8

***

# 4
# AgBi2Pb
Theoretical X-ray diffraction stick pattern, Cu Kα (weighted mean of Kα1 and Kα2). Input: a DFT-relaxed cell (GGA-PBE, Alexandria).

Structural model:
```
AgBi2Pb
1.0
3.397 0.000 0.000
0.000 3.397 0.000
0.000 0.000 9.862
Ag Bi Pb
1 2 1
Direct
0.000 0.000 0.000 Ag
0.500 0.500 0.215 Bi
0.500 0.500 0.785 Bi
0.000 0.000 0.500 Pb
```

Largest 10 diffraction maxima, sorted by position, 2θ from 10° to 80°:
2θ 27.13, d 3.287, I = 9
2θ 27.78, d 3.212, I = 10
2θ 31.99, d 2.797, I = 100
2θ 36.44, d 2.465, I = 12
2θ 37.44, d 2.402, I = 37
2θ 46.84, d 1.939, I = 9
2θ 53.24, d 1.721, I = 17
2θ 53.74, d 1.706, I = 11
2θ 53.98, d 1.699, I = 13
2θ 64.14, d 1.452, I = 28

***

# 5
# AgBiTe3Pb
Theoretical X-ray diffraction stick pattern, Cu Kα (weighted mean of Kα1 and Kα2). Input: a DFT-relaxed cell (GGA-PBE, Alexandria).

Structural model:
```
AgBiTe3Pb
1.0
4.487 0.000 0.000
0.000 6.347 0.000
0.000 0.000 13.365
Ag Bi Te Pb
2 2 6 2
Direct
0.000 0.000 0.000 Ag
0.500 0.500 0.500 Ag
0.000 0.000 0.675 Bi
0.500 0.500 0.175 Bi
0.000 0.500 0.012 Te
0.000 0.500 0.346 Te
0.000 0.500 0.656 Te
0.500 0.000 0.156 Te
0.500 0.000 0.512 Te
0.500 0.000 0.846 Te
0.000 0.000 0.329 Pb
0.500 0.500 0.829 Pb
```

Largest 10 diffraction maxima, sorted by position, 2θ from 10° to 80°:
2θ 28.12, d 3.174, I = 52
2θ 28.23, d 3.161, I = 100
2θ 40.25, d 2.240, I = 98
2θ 40.50, d 2.228, I = 18
2θ 49.77, d 1.832, I = 22
2θ 50.03, d 1.823, I = 19
2θ 58.38, d 1.581, I = 12
2θ 65.86, d 1.418, I = 28
2θ 66.03, d 1.415, I = 17
2θ 73.08, d 1.295, I = 20

***

# 6
# Ag4BiPd3
Theoretical X-ray diffraction stick pattern, Cu Kα (weighted mean of Kα1 and Kα2). Input: a DFT-relaxed cell (GGA-PBE, Alexandria).

Structural model:
```
Ag4BiPd3
1.0
17.593 0.000 0.000
0.000 4.107 0.000
-0.955 0.000 4.017
Ag Bi Pd
8 2 6
Direct
0.135 0.000 0.136 Ag
0.135 0.500 0.637 Ag
0.365 0.000 0.363 Ag
0.365 0.500 0.864 Ag
0.635 0.000 0.637 Ag
0.635 0.500 0.136 Ag
0.865 0.000 0.864 Ag
0.865 0.500 0.363 Ag
0.000 0.000 0.500 Bi
0.500 0.500 0.500 Bi
0.000 0.500 0.000 Pd
0.250 0.000 0.750 Pd
0.250 0.500 0.250 Pd
0.500 0.000 0.000 Pd
0.750 0.000 0.250 Pd
0.750 0.500 0.750 Pd
```

Largest 10 diffraction maxima, sorted by position, 2θ from 10° to 80°:
2θ 37.36, d 2.407, I = 100
2θ 42.24, d 2.139, I = 16
2θ 43.86, d 2.064, I = 16
2θ 44.10, d 2.053, I = 16
2θ 62.69, d 1.482, I = 15
2θ 63.95, d 1.456, I = 10
2θ 74.09, d 1.280, I = 5
2θ 76.21, d 1.249, I = 6
2θ 76.37, d 1.247, I = 6
2θ 76.64, d 1.243, I = 12

***

# 7
# AgBiPd5
Theoretical X-ray diffraction stick pattern, Cu Kα (weighted mean of Kα1 and Kα2). Input: a DFT-relaxed cell (GGA-PBE, Alexandria).

Structural model:
```
AgBiPd5
1.0
4.006 0.000 0.000
0.000 4.006 0.000
0.000 0.000 7.908
Ag Bi Pd
1 1 5
Direct
0.000 0.000 0.000 Ag
0.500 0.500 0.500 Bi
0.000 0.500 0.256 Pd
0.000 0.500 0.744 Pd
0.500 0.000 0.256 Pd
0.500 0.000 0.744 Pd
0.500 0.500 0.000 Pd
```

Largest 10 diffraction maxima, sorted by position, 2θ from 10° to 80°:
2θ 22.19, d 4.006, I = 12
2θ 24.91, d 3.574, I = 19
2θ 31.80, d 2.814, I = 10
2θ 39.12, d 2.303, I = 100
2θ 40.99, d 2.202, I = 5
2θ 45.27, d 2.003, I = 33
2θ 45.90, d 1.977, I = 16
2θ 65.95, d 1.416, I = 11
2θ 66.44, d 1.407, I = 20
2θ 79.43, d 1.207, I = 25

***

# 8
# AgBi12Pd7
Theoretical X-ray diffraction stick pattern, Cu Kα (weighted mean of Kα1 and Kα2). Input: a DFT-relaxed cell (GGA-PBE, Alexandria).

Structural model:
```
AgBi12Pd7
1.0
7.235 4.177 2.783
-7.235 4.177 2.783
0.000 -8.354 2.783
Ag Bi Pd
1 12 7
Direct
0.000 0.000 0.000 Ag
0.040 0.176 0.724 Bi
0.176 0.566 0.438 Bi
0.176 0.724 0.040 Bi
0.276 0.960 0.824 Bi
0.434 0.562 0.824 Bi
0.438 0.176 0.566 Bi
0.562 0.824 0.434 Bi
0.566 0.438 0.176 Bi
0.724 0.040 0.176 Bi
0.824 0.276 0.960 Bi
0.824 0.434 0.562 Bi
0.960 0.824 0.276 Bi
0.128 0.223 0.418 Pd
0.223 0.418 0.128 Pd
0.418 0.128 0.223 Pd
0.500 0.500 0.500 Pd
0.582 0.872 0.777 Pd
0.777 0.582 0.872 Pd
0.872 0.777 0.582 Pd
```

Largest 10 diffraction maxima, sorted by position, 2θ from 10° to 80°:
2θ 27.81, d 3.209, I = 71
2θ 28.50, d 3.132, I = 35
2θ 32.16, d 2.783, I = 31
2θ 32.75, d 2.734, I = 52
2θ 32.95, d 2.718, I = 95
2θ 33.55, d 2.671, I = 100
2θ 40.91, d 2.206, I = 49
2θ 41.56, d 2.173, I = 37
2θ 45.19, d 2.006, I = 32
2θ 58.60, d 1.575, I = 31